Record 1
For Tm5ZnPd2, a structure optimized by DFT (GGA-PBE) gives the calculated powder diffractogram in this record (λ = 1.5418 Å (Cu Kα)).
Peak positions follow from Bragg's law for the DFT cell and can differ from measured ones.

Structural model:
Lattice parameters (Å, degrees): 7.634 7.634 13.234 90.00 90.00 90.00
Space group I4/mcm (No. 140)
Asymmetric unit:
Tm 0.000 0.000 0.000 (multiplicity 4)
Tm 0.161 0.339 0.144 (multiplicity 16)
Zn 0.000 0.000 0.250 (multiplicity 4)
Pd 0.135 0.365 0.500 (multiplicity 8)

Largest 6 diffraction maxima, by angle, 10° ≤ 2θ ≤ 80°:
| Position (°2θ) | Rel. int. |
| --- | --- |
| 33.2 | 100 |
| 35.9 | 21 |
| 37.2 | 43 |
| 53.7 | 19 |
| 55.6 | 17 |
| 69.7 | 21 |

=====

Record 2
For Cs2Hg4Rh, a structure optimized by DFT (GGA-PBE) gives the calculated powder diffractogram in this record (λ = 1.5418 Å (Cu Kα)).
Peak positions follow from Bragg's law for the DFT cell and can differ from measured ones.

Structural model:
Lattice parameters (Å, degrees): 5.452 5.452 18.717 90.00 90.00 90.00
Space group I4/mmm (No. 139)
Asymmetric unit:
Cs 0.000 0.000 0.145 (multiplicity 4)
Hg 0.000 0.000 0.356 (multiplicity 4)
Hg 0.000 0.500 0.000 (multiplicity 4)
Rh 0.000 0.000 0.500 (multiplicity 2)

Largest 6 diffraction maxima, by angle, 10° ≤ 2θ ≤ 80°:
| Position (°2θ) | Rel. int. |
| --- | --- |
| 25.0 | 41 |
| 28.6 | 33 |
| 30.0 | 100 |
| 32.9 | 70 |
| 44.1 | 41 |
| 56.9 | 34 |

=====

Record 3
For SrLiHg3, a structure optimized by DFT (GGA-PBE) gives the calculated powder diffractogram in this record (λ = 1.5418 Å (Cu Kα)).
Peak positions follow from Bragg's law for the DFT cell and can differ from measured ones.

Structural model:
Lattice parameters (Å, degrees): 6.648 6.635 6.781 90.00 118.59 90.00
Space group Cm (No. 8)
Asymmetric unit:
Sr 0.000 0.000 0.000 (multiplicity 2)
Li 0.373 0.000 0.745 (multiplicity 2)
Hg 0.014 0.247 0.525 (multiplicity 4)
Hg 0.089 0.500 0.180 (multiplicity 2)

Largest 6 diffraction maxima, by angle, 10° ≤ 2θ ≤ 80°:
| Position (°2θ) | Rel. int. |
| --- | --- |
| 14.9 | 43 |
| 30.0 | 27 |
| 30.6 | 51 |
| 30.9 | 100 |
| 31.0 | 49 |
| 38.3 | 71 |